Structure and computed X-ray diffraction stick pattern of ErTm2N3 (the PBE geometry in OQMD; Cu Ka).
Neutral-atom scattering factors, no anomalous dispersion.

Structural model:
```
data_ErTm2N3
_chemical_formula_sum 'Er1 Tm2 N3'
_space_group_name_H-M_alt 'P -3 m 1'
_space_group_IT_number 164
_space_group_name_Hall '-P 3 2"'
_cell_length_a 3.3948
_cell_length_b 3.3948
_cell_length_c 8.3180
_cell_angle_alpha 90.00
_cell_angle_beta 90.00
_cell_angle_gamma 120.00
loop_
_atom_site_label
_atom_site_fract_x
_atom_site_fract_y
_atom_site_fract_z
Er1 0.0000 0.0000 0.0000
Tm1 0.3333 0.6667 0.3336
N1 0.0000 0.0000 0.5000
N2 0.3333 0.6667 0.8327
```

Peak list (7 most intense, 10° ≤ 2θ ≤ 90°, sorted by position)
(0 1 1), 2θ = 32.3°, d 2.772, I = 100
(1 0 2), 2θ = 37.5°, d 2.401, I = 70
(1 1 0), 2θ = 54.0°, d 1.698, I = 48
(2 0 1), 2θ = 64.4°, d 1.448, I = 44
(0 2 2), 2θ = 67.6°, d 1.386, I = 16
(2 0 4), 2θ = 79.9°, d 1.200, I = 8
(1 2 1), 2θ = 88.8°, d 1.102, I = 19

=====

Structure and computed X-ray diffraction stick pattern of NaErPd6O8 (the PBE geometry in OQMD; Cu Ka).
Neutral-atom scattering factors, no anomalous dispersion.

Structural model:
```
data_NaErPd6O8
_chemical_formula_sum 'Na1 Er1 Pd6 O8'
_space_group_name_H-M_alt 'P m -3'
_space_group_IT_number 200
_space_group_name_Hall '-P 2 2 3'
_cell_length_a 5.7683
_cell_length_b 5.7683
_cell_length_c 5.7683
_cell_angle_alpha 90.00
_cell_angle_beta 90.00
_cell_angle_gamma 90.00
loop_
_atom_site_label
_atom_site_fract_x
_atom_site_fract_y
_atom_site_fract_z
Na1 0.0000 0.0000 0.0000
Er1 0.5000 0.5000 0.5000
Pd1 0.0000 0.5000 0.2494
O1 0.2605 0.2605 0.2605
```

Peak list (8 most intense, 10° ≤ 2θ ≤ 90°, sorted by position)
(1 0 0), 2θ = 15.4°, d 5.768, I = 20
(2 1 0), 2θ = 34.8°, d 2.580, I = 100
(2 1 1), 2θ = 38.2°, d 2.355, I = 62
(2 2 2), 2θ = 55.2°, d 1.665, I = 14
(3 0 2), 2θ = 57.6°, d 1.600, I = 24
(3 2 1), 2θ = 60.0°, d 1.542, I = 33
(4 0 0), 2θ = 64.6°, d 1.442, I = 17
(4 2 1), 2θ = 75.5°, d 1.259, I = 20

=====

Structure and computed X-ray diffraction stick pattern of NaErSeO (the PBE geometry in OQMD; Cu Ka).
Neutral-atom scattering factors, no anomalous dispersion.

Structural model:
```
data_NaErSeO
_chemical_formula_sum 'Na4 Er4 Se4 O4'
_space_group_name_H-M_alt 'P 1 21/c 1'
_space_group_IT_number 14
_cell_length_a 7.0246
_cell_length_b 7.3001
_cell_length_c 6.3315
_cell_angle_alpha 90.00
_cell_angle_beta 102.76
_cell_angle_gamma 90.00
loop_
_space_group_symop_operation_xyz
'x,y,z'
'-x,-y,-z'
'-x,y+1/2,-z+1/2'
'x,-y+1/2,z+1/2'
loop_
_atom_site_label
_atom_site_fract_x
_atom_site_fract_y
_atom_site_fract_z
Na1 0.0959 0.2338 0.4900
Er1 0.4631 0.6242 0.7716
Se1 0.2115 0.5813 0.3370
O1 0.3961 0.1526 0.3848
```

Peak list (8 most intense, 10° ≤ 2θ ≤ 90°, sorted by position)
(1 0 0), 2θ = 12.9°, d 6.851, I = 100
(0 0 2), 2θ = 28.9°, d 3.087, I = 28
(2 1 -1), 2θ = 29.5°, d 3.024, I = 29
(1 2 -1), 2θ = 29.9°, d 2.986, I = 64
(1 0 2), 2θ = 34.4°, d 2.607, I = 35
(2 2 -1), 2θ = 36.6°, d 2.457, I = 29
(2 2 1), 2θ = 41.1°, d 2.196, I = 30
(1 2 -3), 2θ = 50.0°, d 1.823, I = 23

=====

Structure and computed X-ray diffraction stick pattern of NaErSeO (the PBE geometry in OQMD; Cu Ka).
Neutral-atom scattering factors, no anomalous dispersion.

Structural model:
```
data_NaErSeO
_chemical_formula_sum 'Na4 Er4 Se4 O4'
_space_group_name_H-M_alt 'C 1 2 1'
_space_group_IT_number 5
_cell_length_a 5.6093
_cell_length_b 5.6041
_cell_length_c 10.6484
_cell_angle_alpha 90.00
_cell_angle_beta 104.13
_cell_angle_gamma 90.00
loop_
_space_group_symop_operation_xyz
'x,y,z'
'-x,y,-z'
'x+1/2,y+1/2,z'
'-x+1/2,y+1/2,-z'
loop_
_atom_site_label
_atom_site_fract_x
_atom_site_fract_y
_atom_site_fract_z
Na1 0.2054 0.0000 0.4020
Er1 0.2015 0.2746 0.8993
Se1 0.1672 0.4994 0.3105
O1 0.0000 0.0262 0.0000
O2 0.0000 0.5272 0.0000
```

Peak list (8 most intense, 10° ≤ 2θ ≤ 90°, sorted by position)
(1 1 1), 2θ = 25.8°, d 3.456, I = 81
(1 1 -2), 2θ = 26.1°, d 3.415, I = 100
(1 1 2), 2θ = 31.0°, d 2.880, I = 72
(1 1 -3), 2θ = 31.5°, d 2.840, I = 73
(2 0 0), 2θ = 32.9°, d 2.720, I = 37
(0 2 1), 2θ = 33.1°, d 2.704, I = 61
(1 1 3), 2θ = 37.8°, d 2.383, I = 45
(2 2 -1), 2θ = 45.8°, d 1.982, I = 72

=====

Structure and computed X-ray diffraction stick pattern of NaErTeO (the PBE geometry in OQMD; Cu Ka).
Neutral-atom scattering factors, no anomalous dispersion.

Structural model:
```
data_NaErTeO
_chemical_formula_sum 'Na2 Er2 Te2 O2'
_space_group_name_H-M_alt 'P 4/n m m'
_space_group_IT_number 129
_cell_length_a 4.0853
_cell_length_b 4.0853
_cell_length_c 10.1125
_cell_angle_alpha 90.00
_cell_angle_beta 90.00
_cell_angle_gamma 90.00
loop_
_space_group_symop_operation_xyz
'x,y,z'
'-x,-y,-z'
'-y+1/2,x,z'
'y+1/2,-x,-z'
'-x+1/2,-y+1/2,z'
'x+1/2,y+1/2,-z'
'y,-x+1/2,z'
'-y,x+1/2,-z'
'x+1/2,-y,-z'
'-x+1/2,y,z'
'-y,-x,-z'
'y,x,z'
'-x,y+1/2,-z'
'x,-y+1/2,z'
'y+1/2,x+1/2,-z'
'-y+1/2,-x+1/2,z'
loop_
_atom_site_label
_atom_site_fract_x
_atom_site_fract_y
_atom_site_fract_z
Na1 0.2500 0.7500 0.0000
Er1 0.2500 0.2500 0.4019
Te1 0.2500 0.2500 0.7816
O1 0.2500 0.7500 0.5000
```

Peak list (8 most intense, 10° ≤ 2θ ≤ 90°, sorted by position)
(1 0 2), 2θ = 28.1°, d 3.178, I = 100
(1 1 0), 2θ = 31.0°, d 2.889, I = 57
(1 1 1), 2θ = 32.2°, d 2.778, I = 23
(1 0 3), 2θ = 34.5°, d 2.600, I = 96
(2 0 0), 2θ = 44.3°, d 2.043, I = 38
(2 1 2), 2θ = 53.3°, d 1.718, I = 34
(1 1 5), 2θ = 55.5°, d 1.657, I = 24
(2 1 3), 2θ = 57.4°, d 1.606, I = 45

=====

Structure and computed X-ray diffraction stick pattern of NaErPa2 (the PBE geometry in OQMD; Cu Ka).
Neutral-atom scattering factors, no anomalous dispersion.

Structural model:
```
data_NaErPa2
_chemical_formula_sum 'Na1 Er1 Pa2'
_space_group_name_H-M_alt 'P -6 m 2'
_space_group_IT_number 187
_space_group_name_Hall 'P -6 2'
_cell_length_a 3.1837
_cell_length_b 3.1837
_cell_length_c 12.6084
_cell_angle_alpha 90.00
_cell_angle_beta 90.00
_cell_angle_gamma 120.00
loop_
_atom_site_label
_atom_site_fract_x
_atom_site_fract_y
_atom_site_fract_z
Na1 0.0000 0.0000 0.0000
Er1 0.6667 0.3333 0.5000
Pa1 0.0000 0.0000 0.2689
```

Peak list (8 most intense, 10° ≤ 2θ ≤ 90°, sorted by position)
(0 0 2), 2θ = 14.0°, d 6.304, I = 31
(0 0 4), 2θ = 28.3°, d 3.152, I = 36
(1 0 0), 2θ = 32.5°, d 2.757, I = 38
(1 0 2), 2θ = 35.5°, d 2.526, I = 100
(1 0 3), 2θ = 39.1°, d 2.305, I = 24
(1 0 4), 2θ = 43.6°, d 2.075, I = 27
(1 1 4), 2θ = 65.7°, d 1.421, I = 20
(2 0 2), 2θ = 69.9°, d 1.347, I = 21

=====

Structure and computed X-ray diffraction stick pattern of NaErPb (the PBE geometry in OQMD; Cu Ka).
Neutral-atom scattering factors, no anomalous dispersion.

Structural model:
```
data_NaErPb
_chemical_formula_sum 'Na3 Er3 Pb3'
_space_group_name_H-M_alt 'P -6 m 2'
_space_group_IT_number 187
_space_group_name_Hall 'P -6 2'
_cell_length_a 5.2046
_cell_length_b 5.2046
_cell_length_c 10.3189
_cell_angle_alpha 90.00
_cell_angle_beta 90.00
_cell_angle_gamma 120.00
loop_
_atom_site_label
_atom_site_fract_x
_atom_site_fract_y
_atom_site_fract_z
Na1 0.0000 0.0000 0.0000
Na2 0.3333 0.6667 0.3200
Er1 0.6667 0.3333 0.1663
Er2 0.6667 0.3333 0.5000
Pb1 0.0000 0.0000 0.3406
Pb2 0.3333 0.6667 0.0000
```

Peak list (8 most intense, 10° ≤ 2θ ≤ 90°, sorted by position)
(1 0 1), 2θ = 21.5°, d 4.130, I = 41
(1 0 2), 2θ = 26.3°, d 3.394, I = 18
(1 0 3), 2θ = 32.8°, d 2.734, I = 100
(1 1 0), 2θ = 34.5°, d 2.602, I = 85
(2 0 3), 2θ = 48.3°, d 1.885, I = 34
(2 1 3), 2θ = 60.7°, d 1.527, I = 35
(3 0 0), 2θ = 61.7°, d 1.502, I = 16
(1 1 6), 2θ = 65.0°, d 1.435, I = 26

=====

Structure and computed X-ray diffraction stick pattern of NdErNb2Si2 (the PBE geometry in OQMD; Cu Ka).
Neutral-atom scattering factors, no anomalous dispersion.

Structural model:
```
data_NdErNb2Si2
_chemical_formula_sum 'Nd1 Er1 Nb2 Si2'
_space_group_name_H-M_alt 'P 4 m m'
_space_group_IT_number 99
_cell_length_a 4.0220
_cell_length_b 4.0220
_cell_length_c 7.9418
_cell_angle_alpha 90.00
_cell_angle_beta 90.00
_cell_angle_gamma 90.00
loop_
_space_group_symop_operation_xyz
'x,y,z'
'-y,x,z'
'-x,-y,z'
'y,-x,z'
'-x,y,z'
'y,x,z'
'x,-y,z'
'-y,-x,z'
loop_
_atom_site_label
_atom_site_fract_x
_atom_site_fract_y
_atom_site_fract_z
Nd1 0.0000 0.0000 0.0000
Er1 0.5000 0.5000 0.7045
Nb1 0.0000 0.5000 0.3614
Si1 0.0000 0.0000 0.5954
Si2 0.5000 0.5000 0.1294
```

Peak list (8 most intense, 10° ≤ 2θ ≤ 90°, sorted by position)
(1 0 1), 2θ = 24.8°, d 3.588, I = 56
(1 0 2), 2θ = 31.7°, d 2.826, I = 81
(1 1 1), 2θ = 33.5°, d 2.677, I = 100
(0 0 3), 2θ = 33.9°, d 2.647, I = 38
(1 1 2), 2θ = 39.0°, d 2.312, I = 54
(2 0 0), 2θ = 45.1°, d 2.011, I = 49
(2 1 2), 2θ = 56.1°, d 1.638, I = 32
(2 0 3), 2θ = 57.6°, d 1.601, I = 33

=====

Structure and computed X-ray diffraction stick pattern of YErNb2Si2 (the PBE geometry in OQMD; Cu Ka).
Neutral-atom scattering factors, no anomalous dispersion.

Structural model:
```
data_YErNb2Si2
_chemical_formula_sum 'Y1 Er1 Nb2 Si2'
_space_group_name_H-M_alt 'P 4 m m'
_space_group_IT_number 99
_cell_length_a 3.9992
_cell_length_b 3.9992
_cell_length_c 7.7376
_cell_angle_alpha 90.00
_cell_angle_beta 90.00
_cell_angle_gamma 90.00
loop_
_space_group_symop_operation_xyz
'x,y,z'
'-y,x,z'
'-x,-y,z'
'y,-x,z'
'-x,y,z'
'y,x,z'
'x,-y,z'
'-y,-x,z'
loop_
_atom_site_label
_atom_site_fract_x
_atom_site_fract_y
_atom_site_fract_z
Y1 0.0000 0.0000 0.0000
Er1 0.5000 0.5000 0.7069
Nb1 0.0000 0.5000 0.3559
Si1 0.0000 0.0000 0.5971
Si2 0.5000 0.5000 0.1145
```

Peak list (8 most intense, 10° ≤ 2θ ≤ 90°, sorted by position)
(1 0 1), 2θ = 25.1°, d 3.553, I = 40
(1 0 2), 2θ = 32.2°, d 2.781, I = 60
(1 1 1), 2θ = 33.7°, d 2.656, I = 100
(0 0 3), 2θ = 34.8°, d 2.579, I = 34
(1 1 2), 2θ = 39.5°, d 2.283, I = 57
(2 0 0), 2θ = 45.4°, d 2.000, I = 45
(2 1 2), 2θ = 56.7°, d 1.623, I = 24
(2 0 3), 2θ = 58.4°, d 1.580, I = 30

=====

Structure and computed X-ray diffraction stick pattern of NdErNi2Pb (the PBE geometry in OQMD; Cu Ka).
Neutral-atom scattering factors, no anomalous dispersion.

Structural model:
```
data_NdErNi2Pb
_chemical_formula_sum 'Nd2 Er2 Ni4 Pb2'
_space_group_name_H-M_alt 'A m m 2'
_space_group_IT_number 38
_cell_length_a 3.7152
_cell_length_b 4.0073
_cell_length_c 14.4545
_cell_angle_alpha 90.00
_cell_angle_beta 90.00
_cell_angle_gamma 90.00
loop_
_space_group_symop_operation_xyz
'x,y,z'
'-x,-y,z'
'-x,y,z'
'x,-y,z'
'x,y+1/2,z+1/2'
'-x,-y+1/2,z+1/2'
'-x,y+1/2,z+1/2'
'x,-y+1/2,z+1/2'
loop_
_atom_site_label
_atom_site_fract_x
_atom_site_fract_y
_atom_site_fract_z
Nd1 0.0000 0.0000 0.0000
Er1 0.0000 0.0000 0.2786
Ni1 0.5000 0.0000 0.4313
Ni2 0.5000 0.0000 0.8354
Pb1 0.5000 0.0000 0.6426
```

Peak list (8 most intense, 10° ≤ 2θ ≤ 90°, sorted by position)
(0 1 3), 2θ = 29.0°, d 3.081, I = 51
(1 1 1), 2θ = 33.5°, d 2.677, I = 100
(1 0 4), 2θ = 34.6°, d 2.590, I = 68
(0 1 5), 2θ = 38.4°, d 2.344, I = 33
(0 2 0), 2θ = 45.3°, d 2.004, I = 23
(2 0 0), 2θ = 49.0°, d 1.858, I = 18
(1 1 7), 2θ = 55.9°, d 1.646, I = 20
(1 2 4), 2θ = 58.2°, d 1.585, I = 31

=====

Structure and computed X-ray diffraction stick pattern of NdErTlNi2 (the PBE geometry in OQMD; Cu Ka).
Neutral-atom scattering factors, no anomalous dispersion.

Structural model:
```
data_NdErTlNi2
_chemical_formula_sum 'Nd2 Er2 Tl2 Ni4'
_space_group_name_H-M_alt 'A m m 2'
_space_group_IT_number 38
_cell_length_a 3.7195
_cell_length_b 3.9395
_cell_length_c 14.4729
_cell_angle_alpha 90.00
_cell_angle_beta 90.00
_cell_angle_gamma 90.00
loop_
_space_group_symop_operation_xyz
'x,y,z'
'-x,-y,z'
'-x,y,z'
'x,-y,z'
'x,y+1/2,z+1/2'
'-x,-y+1/2,z+1/2'
'-x,y+1/2,z+1/2'
'x,-y+1/2,z+1/2'
loop_
_atom_site_label
_atom_site_fract_x
_atom_site_fract_y
_atom_site_fract_z
Nd1 0.0000 0.0000 0.0000
Er1 0.0000 0.0000 0.2770
Tl1 0.5000 0.0000 0.6418
Ni1 0.5000 0.0000 0.4330
Ni2 0.5000 0.0000 0.8351
```

Peak list (8 most intense, 10° ≤ 2θ ≤ 90°, sorted by position)
(0 1 3), 2θ = 29.3°, d 3.051, I = 49
(1 1 1), 2θ = 33.7°, d 2.658, I = 100
(1 0 4), 2θ = 34.6°, d 2.594, I = 69
(0 1 5), 2θ = 38.6°, d 2.333, I = 34
(0 2 0), 2θ = 46.1°, d 1.970, I = 22
(2 0 0), 2θ = 49.0°, d 1.860, I = 19
(1 1 7), 2θ = 56.0°, d 1.643, I = 20
(1 2 4), 2θ = 58.9°, d 1.569, I = 30

=====

Structure and computed X-ray diffraction stick pattern of NdErSi4Os2 (the PBE geometry in OQMD; Cu Ka).
Neutral-atom scattering factors, no anomalous dispersion.

Structural model:
```
data_NdErSi4Os2
_chemical_formula_sum 'Nd1 Er1 Si4 Os2'
_space_group_name_H-M_alt 'P 1 m 1'
_space_group_IT_number 6
_cell_length_a 4.4514
_cell_length_b 4.1132
_cell_length_c 8.1825
_cell_angle_alpha 90.00
_cell_angle_beta 101.98
_cell_angle_gamma 90.00
loop_
_space_group_symop_operation_xyz
'x,y,z'
'x,-y,z'
loop_
_atom_site_label
_atom_site_fract_x
_atom_site_fract_y
_atom_site_fract_z
Nd1 0.0000 0.0000 0.0000
Er1 0.1790 0.5000 0.4049
Si1 0.2476 0.0000 0.6902
Si2 0.5468 0.5000 0.1088
Si3 0.6215 0.0000 0.2890
Si4 0.9176 0.5000 0.7014
Os1 0.4652 0.5000 0.8114
Os2 0.6977 0.0000 0.5812
```

Peak list (8 most intense, 10° ≤ 2θ ≤ 90°, sorted by position)
(0 0 1), 2θ = 11.1°, d 8.004, I = 70
(1 1 0), 2θ = 29.9°, d 2.990, I = 51
(1 1 -1), 2θ = 30.4°, d 2.942, I = 100
(0 1 2), 2θ = 31.2°, d 2.868, I = 78
(1 0 2), 2θ = 33.4°, d 2.681, I = 83
(1 0 -3), 2θ = 35.6°, d 2.520, I = 55
(0 1 3), 2θ = 40.3°, d 2.238, I = 51
(0 2 0), 2θ = 44.0°, d 2.057, I = 40